Entry 1:
# TbScPd14
Theoretical powder XRD pattern, Cu Kα (weighted mean of Kα1 and Kα2). Input: a PBE-relaxed structure.
Neutral-atom scattering factors, no anomalous dispersion.

Structural model:
Lattice parameters (Å, degrees): 5.698 5.698 7.973 90.00 90.00 90.00
Space group P4/mmm (No. 123)
Inequivalent atoms, fractional coordinates:
Tb 0.000 0.000 0.000
Sc 0.500 0.500 0.000
Pd 0.000 0.000 0.500
Pd 0.000 0.500 0.000
Pd 0.000 0.500 0.500
Pd 0.253 0.253 0.254
Pd 0.500 0.500 0.500

Peak list (12 most intense, 10° ≤ 2θ ≤ 90°, in order of falling intensity)
- d 2.318, I = 100
- d 2.015, I = 33
- d 1.214, I = 24
- d 1.417, I = 20
- d 1.993, I = 16
- d 1.204, I = 12
- d 1.159, I = 11
- d 1.425, I = 10
- d 4.636, I = 3
- d 3.266, I = 1
- d 5.698, I = 1
- d 2.427, I = 1

Entry 2:
# Sc6Te2Pd
Theoretical powder XRD pattern, Cu Kα (weighted mean of Kα1 and Kα2). Input: a PBE-relaxed structure.
Neutral-atom scattering factors, no anomalous dispersion.

Structural model:
Lattice parameters (Å, degrees): 20.342 3.812 10.724 90.00 90.00 90.00
Space group Pnma (No. 62)
Inequivalent atoms, fractional coordinates:
Sc 0.007 0.250 0.111
Sc 0.026 0.750 0.380
Sc 0.108 0.250 0.816
Sc 0.137 0.750 0.062
Sc 0.158 0.250 0.535
Sc 0.231 0.750 0.742
Te 0.126 0.250 0.270
Te 0.236 0.250 0.959
Pd 0.076 0.750 0.639

Peak list (12 most intense, 10° ≤ 2θ ≤ 90°, in order of falling intensity)
- d 2.692, I = 100
- d 2.471, I = 54
- d 2.290, I = 50
- d 1.906, I = 44
- d 2.434, I = 43
- d 3.690, I = 40
- d 2.593, I = 40
- d 2.526, I = 38
- d 2.607, I = 35
- d 2.144, I = 34
- d 3.591, I = 31
- d 1.316, I = 28

Entry 3:
# ScTe2Pd
Theoretical powder XRD pattern, Cu Kα (weighted mean of Kα1 and Kα2). Input: a PBE-relaxed structure.
Neutral-atom scattering factors, no anomalous dispersion.

Structural model:
Lattice parameters (Å, degrees): 4.499 5.162 4.504 90.00 102.40 90.00
Space group Pm (No. 6)
Inequivalent atoms, fractional coordinates:
Sc 0.000 0.000 0.000
Te 0.182 0.500 0.821
Te 0.598 0.000 0.403
Pd 0.784 0.500 0.220

Peak list (12 most intense, 10° ≤ 2θ ≤ 90°, in order of falling intensity)
- d 2.901, I = 100
- d 2.821, I = 100
- d 3.347, I = 89
- d 1.993, I = 88
- d 2.581, I = 78
- d 2.022, I = 70
- d 1.904, I = 62
- d 3.508, I = 41
- d 1.410, I = 39
- d 1.204, I = 25
- d 1.346, I = 24
- d 2.198, I = 23

Entry 4:
# Sc2TePd8
Theoretical powder XRD pattern, Cu Kα (weighted mean of Kα1 and Kα2). Input: a PBE-relaxed structure.
Neutral-atom scattering factors, no anomalous dispersion.

Structural model:
Lattice parameters (Å, degrees): 15.312 4.645 5.811 90.00 112.22 90.00
Space group C2/m (No. 12)
Inequivalent atoms, fractional coordinates:
Sc 0.190 0.000 0.190
Te 0.000 0.500 0.500
Pd 0.000 0.000 0.244
Pd 0.144 0.500 0.381
Pd 0.144 0.500 0.907
Pd 0.185 0.000 0.686

Peak list (12 most intense, 10° ≤ 2θ ≤ 90°, in order of falling intensity)
- d 2.184, I = 100
- d 2.322, I = 34
- d 2.362, I = 22
- d 1.313, I = 19
- d 3.229, I = 15
- d 1.656, I = 14
- d 2.420, I = 14
- d 5.377, I = 11
- d 1.232, I = 8
- d 1.453, I = 7
- d 1.268, I = 7
- d 1.327, I = 7

Please write out number 4 again, unchanged.
# Sc2TePd8
Theoretical powder XRD pattern, Cu Kα (weighted mean of Kα1 and Kα2). Input: a PBE-relaxed structure.
Neutral-atom scattering factors, no anomalous dispersion.

Structural model:
Lattice parameters (Å, degrees): 15.312 4.645 5.811 90.00 112.22 90.00
Space group C2/m (No. 12)
Inequivalent atoms, fractional coordinates:
Sc 0.190 0.000 0.190
Te 0.000 0.500 0.500
Pd 0.000 0.000 0.244
Pd 0.144 0.500 0.381
Pd 0.144 0.500 0.907
Pd 0.185 0.000 0.686

Peak list (12 most intense, 10° ≤ 2θ ≤ 90°, in order of falling intensity)
- d 2.184, I = 100
- d 2.322, I = 34
- d 2.362, I = 22
- d 1.313, I = 19
- d 3.229, I = 15
- d 1.656, I = 14
- d 2.420, I = 14
- d 5.377, I = 11
- d 1.232, I = 8
- d 1.453, I = 7
- d 1.268, I = 7
- d 1.327, I = 7